Diffraction record for KNaFeSi4O10. The PXRD pattern is calculated, not measured: it uses DFT lattice parameters and positions (PBE+U) and Cu Kα.
No peak broadening, texture or thermal motion is included.

Peak list (6 most intense, 10 to 90 degrees two-theta, by angle)
- 7.013 Å, 2θ = 12.62°, I = 89, hkl 0 1 0
- 3.504 Å, 2θ = 25.42°, I = 83, hkl 0 2 0
- 3.288 Å, 2θ = 27.12°, I = 79, hkl 0 1 -3
- 3.070 Å, 2θ = 29.09°, I = 100, hkl -2 1 2
- 3.041 Å, 2θ = 29.37°, I = 56, hkl 2 -1 1
- 2.505 Å, 2θ = 35.84°, I = 59, hkl 0 3 -1

Crystal structure
```
data_KNaFeSi4O10
_space_group_name_H-M_alt 'P -1'
_space_group_IT_number 2
_cell_length_a 7.059
_cell_length_b 8.293
_cell_length_c 10.069
_cell_angle_alpha 105.19
_cell_angle_beta 101.08
_cell_angle_gamma 113.89
loop_
_space_group_symop_operation_xyz
'x,y,z'
'-x,-y,-z'
loop_
_atom_site_label
_atom_site_fract_x
_atom_site_fract_y
_atom_site_fract_z
_atom_site_occupancy
K1 0.171 0.312 0.015 1
Na1 0.249 0.782 0.410 1
Fe1 0.247 0.198 0.591 1
Si1 0.104 0.874 0.731 1
Si2 0.257 0.591 0.785 1
Si3 0.328 0.126 0.270 1
Si4 0.427 0.804 0.131 1
O1 0.085 0.912 0.582 1
O2 0.093 0.667 0.716 1
O3 0.095 0.126 0.206 1
O4 0.147 0.364 0.712 1
O5 0.283 0.918 0.159 1
O6 0.294 0.647 0.962 1
O7 0.330 0.045 0.866 1
O8 0.395 0.147 0.437 1
O9 0.441 0.700 0.243 1
O10 0.496 0.704 0.767 1
```